Theoretical PXRD pattern of Li7Mn4O12 for λ = 1.5418 Å (Cu Kα), from a structure optimized by DFT (GGA+U).
Neutral-atom scattering factors, no anomalous dispersion.

Peak list (10 most intense, 2θ = 10–90°, sorted by position)
two_theta  d/Å  I_rel
18.48  4.800  100
20.58  4.316  25
21.48  4.137  42
23.89  3.724  30
27.80  3.210  19
36.59  2.456  24
43.86  2.064  38
44.27  2.046  70
63.59  1.463  19
64.58  1.443  17

Structural model:
```
data_Li7Mn4O12
_chemical_formula_sum 'Li14 Mn8 O24'
_symmetry_space_group_name_H-M 'C 1 2/m 1'
_symmetry_Int_Tables_number 12
_cell_length_a 5.0046
_cell_length_b 8.6326
_cell_length_c 9.7290
_cell_angle_alpha 90.00
_cell_angle_beta 99.32
_cell_angle_gamma 90.00
loop_
_symmetry_equiv_pos_as_xyz
'x,y,z'
'-x,-y,-z'
'-x,y,-z'
'x,-y,z'
'x+1/2,y+1/2,z'
'-x+1/2,-y+1/2,-z'
'-x+1/2,y+1/2,-z'
'x+1/2,-y+1/2,z'
loop_
_atom_site_label
_atom_site_type_symbol
_atom_site_fract_x
_atom_site_fract_y
_atom_site_fract_z
Li1 Li 0.0000 0.0000 0.0000
Li2 Li 0.2414 0.5000 0.2519
Li3 Li 0.2426 0.3438 0.7488
Mn1 Mn 0.0000 0.1673 0.5000
Mn2 Mn 0.0000 0.3324 0.0000
O1 O 0.0897 0.0000 0.3837
O2 O 0.1062 0.5000 0.8856
O3 O 0.1430 0.1786 0.8882
O4 O 0.1499 0.3140 0.3855
```